The following is a computed X-ray powder pattern of PrGa6Fe6. It was derived from a crystal structure in the Materials Project, relaxed with GGA-PBE, using Cu Kα.
Lines closer than 0.1° are merged.

Top 8 peaks for 15 to 90 degrees two-theta, by angle:
| 2theta | intensity |
| --- | --- |
| 35.5 | 75 |
| 40.3 | 100 |
| 40.7 | 71 |
| 41.7 | 62 |
| 42.0 | 48 |
| 46.0 | 27 |
| 65.9 | 24 |
| 75.2 | 28 |

Atomic structure:
```
PrGa6Fe6
1.0
0.0000 6.0179 6.2478
2.6112 0.0000 6.2478
2.6112 6.0179 0.0000
Pr Ga Fe
1 6 6
direct
0.0000 0.0000 0.0000 Pr
0.0000 0.0000 0.5000 Ga
0.0163 0.3521 0.6479 Ga
0.3521 0.0163 0.9837 Ga
0.5000 0.5000 0.0000 Ga
0.6479 0.9837 0.0163 Ga
0.9837 0.6479 0.3521 Ga
0.0000 0.5000 0.0000 Fe
0.2846 0.4910 0.5090 Fe
0.4910 0.2846 0.7154 Fe
0.5000 0.0000 0.5000 Fe
0.5090 0.7154 0.2846 Fe
0.7154 0.5090 0.4910 Fe
```

The following is a computed X-ray powder pattern of Nd3PbN. It was derived from a crystal structure in the Materials Project, relaxed with GGA-PBE, using Cu Kα.
Lines closer than 0.1° are merged.

Top 8 peaks for 15 to 90 degrees two-theta, by angle:
| 2theta | intensity |
| --- | --- |
| 30.7 | 100 |
| 35.6 | 55 |
| 51.2 | 39 |
| 60.9 | 44 |
| 63.9 | 13 |
| 75.4 | 6 |
| 83.5 | 18 |
| 86.2 | 18 |

Atomic structure:
```
Nd3PbN
1.0
5.0444 0.0000 0.0000
0.0000 5.0444 0.0000
0.0000 0.0000 5.0444
Nd Pb N
3 1 1
direct
0.0000 0.0000 0.5000 Nd
0.0000 0.5000 0.0000 Nd
0.5000 0.0000 0.0000 Nd
0.5000 0.5000 0.5000 Pb
0.0000 0.0000 0.0000 N
```

The following is a computed X-ray powder pattern of TiNb8B12. It was derived from a crystal structure in the Materials Project, relaxed with GGA-PBE, using Cu Kα.
Lines closer than 0.1° are merged.

Top 8 peaks for 15 to 90 degrees two-theta, by angle:
| 2theta | intensity |
| --- | --- |
| 27.6 | 50 |
| 34.3 | 100 |
| 38.3 | 31 |
| 41.6 | 98 |
| 42.0 | 67 |
| 66.7 | 37 |
| 67.1 | 27 |
| 74.9 | 23 |

Atomic structure:
```
TiNb8B12
1.0
-1.5707 1.6610 21.1598
1.5707 -1.6610 21.1598
1.5707 1.6610 -21.1598
Ti Nb B
1 8 12
direct
0.0000 0.0000 0.0000 Ti
0.0609 0.5609 0.5000 Nb
0.2717 0.7717 0.5000 Nb
0.3336 0.3336 0.0000 Nb
0.3955 0.8955 0.5000 Nb
0.6045 0.1045 0.5000 Nb
0.6664 0.6664 0.0000 Nb
0.7283 0.2283 0.5000 Nb
0.9391 0.4391 0.5000 Nb
0.1224 0.6224 0.5000 B
0.1450 0.1450 0.0000 B
0.1880 0.1880 0.0000 B
0.2107 0.7107 0.5000 B
0.4571 0.9571 0.5000 B
0.4794 0.4794 0.0000 B
0.5206 0.5206 0.0000 B
0.5429 0.0429 0.5000 B
0.7893 0.2893 0.5000 B
0.8120 0.8120 0.0000 B
0.8550 0.8550 0.0000 B
0.8776 0.3776 0.5000 B
```

The following is a computed X-ray powder pattern of ErInPt2. It was derived from a crystal structure in the Materials Project, relaxed with GGA-PBE, using Cu Kα.
Lines closer than 0.1° are merged.

Top 8 peaks for 15 to 90 degrees two-theta, by angle:
| 2theta | intensity |
| --- | --- |
| 22.8 | 1 |
| 26.4 | 3 |
| 37.6 | 100 |
| 46.5 | 1 |
| 54.2 | 17 |
| 61.3 | 1 |
| 67.9 | 36 |
| 80.3 | 11 |

Atomic structure:
```
ErInPt2
1.0
6.7639 0.0000 0.0000
0.0000 6.7639 0.0000
0.0000 0.0000 6.7639
Er In Pt
4 4 8
direct
0.0000 0.0000 0.0000 Er
0.0000 0.5000 0.5000 Er
0.5000 0.0000 0.5000 Er
0.5000 0.5000 0.0000 Er
0.0000 0.0000 0.5000 In
0.0000 0.5000 0.0000 In
0.5000 0.0000 0.0000 In
0.5000 0.5000 0.5000 In
0.2500 0.2500 0.2500 Pt
0.2500 0.2500 0.7500 Pt
0.2500 0.7500 0.2500 Pt
0.2500 0.7500 0.7500 Pt
0.7500 0.2500 0.2500 Pt
0.7500 0.2500 0.7500 Pt
0.7500 0.7500 0.2500 Pt
0.7500 0.7500 0.7500 Pt
```

The following is a computed X-ray powder pattern of CsYC4O9. It was derived from a crystal structure in the Materials Project, relaxed with GGA-PBE, using Cu Kα.
Lines closer than 0.1° are merged.

Top 8 peaks for 15 to 90 degrees two-theta, by angle:
| 2theta | intensity |
| --- | --- |
| 19.9 | 13 |
| 20.2 | 100 |
| 29.0 | 31 |
| 35.1 | 36 |
| 35.6 | 14 |
| 36.1 | 20 |
| 41.2 | 17 |
| 46.0 | 14 |

Atomic structure:
```
CsYC4O9
1.0
8.5466 0.0000 0.0000
0.0000 6.2402 0.0000
-8.5379 0.0000 8.9024
Cs Y C O
2 2 8 18
direct
0.0000 0.0017 0.2500 Cs
0.0000 0.9983 0.7500 Cs
0.5000 0.4236 0.7500 Y
0.5000 0.5764 0.2500 Y
0.0120 0.3965 0.0407 C
0.0120 0.6035 0.5407 C
0.4377 0.3916 0.9783 C
0.4377 0.6084 0.4783 C
0.5623 0.3916 0.5217 C
0.5623 0.6084 0.0217 C
0.9880 0.3965 0.4593 C
0.9880 0.6035 0.9593 C
0.1539 0.2768 0.5321 O
0.1539 0.7232 0.0321 O
0.1932 0.3656 0.1721 O
0.1932 0.6344 0.6721 O
0.3709 0.3511 0.0407 O
0.3709 0.6489 0.5407 O
0.4129 0.2761 0.8827 O
0.4129 0.7239 0.3827 O
0.5000 0.0247 0.7500 O
0.5000 0.9753 0.2500 O
0.5871 0.2761 0.6173 O
0.5871 0.7239 0.1173 O
0.6291 0.3511 0.4593 O
0.6291 0.6489 0.9593 O
0.8068 0.3656 0.3279 O
0.8068 0.6344 0.8279 O
0.8461 0.2768 0.9679 O
0.8461 0.7232 0.4679 O
```

The following is a computed X-ray powder pattern of BaEr2ZnO5. It was derived from a crystal structure in the Materials Project, relaxed with GGA-PBE, using Cu Kα.
Lines closer than 0.1° are merged.

Top 8 peaks for 15 to 90 degrees two-theta, by angle:
| 2theta | intensity |
| --- | --- |
| 29.5 | 100 |
| 30.5 | 82 |
| 31.3 | 54 |
| 31.6 | 23 |
| 36.9 | 18 |
| 45.0 | 32 |
| 54.6 | 18 |
| 58.8 | 17 |

Atomic structure:
```
BaEr2ZnO5
1.0
12.3558 0.0000 0.0000
0.0000 5.7243 0.0000
0.0000 0.0000 7.0965
Ba Er Zn O
4 8 4 20
direct
0.1017 0.2500 0.0781 Ba
0.3983 0.7500 0.5781 Ba
0.6017 0.2500 0.4219 Ba
0.8983 0.7500 0.9219 Ba
0.0744 0.7500 0.4004 Er
0.2081 0.2500 0.6193 Er
0.2919 0.7500 0.1193 Er
0.4256 0.2500 0.9004 Er
0.5744 0.7500 0.0996 Er
0.7081 0.2500 0.8807 Er
0.7919 0.7500 0.3807 Er
0.9256 0.2500 0.5996 Er
0.1501 0.7500 0.8087 Zn
0.3499 0.2500 0.3087 Zn
0.6501 0.7500 0.6913 Zn
0.8499 0.2500 0.1913 Zn
0.0662 0.9996 0.6621 O
0.0662 0.5004 0.6621 O
0.1012 0.7500 0.0779 O
0.2246 0.5006 0.3603 O
0.2246 0.9994 0.3603 O
0.2754 0.0006 0.8603 O
0.2754 0.4994 0.8603 O
0.3988 0.2500 0.5779 O
0.4338 0.0004 0.1621 O
0.4338 0.4996 0.1621 O
0.5662 0.9996 0.8379 O
0.5662 0.5004 0.8379 O
0.6012 0.7500 0.4221 O
0.7246 0.5006 0.1397 O
0.7246 0.9994 0.1397 O
0.7754 0.0006 0.6397 O
0.7754 0.4994 0.6397 O
0.8988 0.2500 0.9221 O
0.9338 0.0004 0.3379 O
0.9338 0.4996 0.3379 O
```

The following is a computed X-ray powder pattern of Ba5Bi3O11. It was derived from a crystal structure in the Materials Project, relaxed with GGA-PBE, using Cu Kα.
Lines closer than 0.1° are merged.

Top 8 peaks for 15 to 90 degrees two-theta, by angle:
| 2theta | intensity |
| --- | --- |
| 27.9 | 100 |
| 28.4 | 55 |
| 39.0 | 14 |
| 40.6 | 26 |
| 49.0 | 22 |
| 50.0 | 41 |
| 57.6 | 16 |
| 79.9 | 10 |

Atomic structure:
```
Ba5Bi3O11
1.0
9.2351 0.0000 0.0000
0.0000 4.4416 4.4446
0.0000 -4.4416 4.4446
Ba Bi O
5 3 11
direct
0.0000 0.0000 0.0000 Ba
0.2719 0.0070 0.4755 Ba
0.2719 0.4755 0.0070 Ba
0.7281 0.0070 0.4755 Ba
0.7281 0.4755 0.0070 Ba
0.0000 0.5141 0.5141 Bi
0.5000 0.0008 0.0008 Bi
0.5000 0.5086 0.5086 Bi
0.0000 0.2779 0.2779 O
0.0000 0.4128 0.8478 O
0.0000 0.8478 0.4128 O
0.2497 0.5103 0.5103 O
0.2679 0.0075 0.0075 O
0.5000 0.2499 0.2499 O
0.5000 0.2618 0.7742 O
0.5000 0.7614 0.7614 O
0.5000 0.7742 0.2618 O
0.7321 0.0075 0.0075 O
0.7503 0.5103 0.5103 O
```

The following is a computed X-ray powder pattern of LiSc2Ag2O4. It was derived from a crystal structure in the Materials Project, relaxed with GGA-PBE, using Cu Kα.
Lines closer than 0.1° are merged.

Top 8 peaks for 15 to 90 degrees two-theta, by angle:
| 2theta | intensity |
| --- | --- |
| 24.8 | 75 |
| 31.2 | 32 |
| 33.0 | 100 |
| 33.3 | 68 |
| 34.5 | 42 |
| 35.2 | 60 |
| 37.3 | 57 |
| 58.3 | 37 |

Atomic structure:
```
LiSc2Ag2O4
1.0
2.7445 -1.5888 0.0000
2.7445 1.5888 0.0000
-0.6984 0.0000 14.3444
Li Sc Ag O
1 2 2 4
direct
0.0000 0.0000 0.0000 Li
0.2680 0.2680 0.3934 Sc
0.3142 0.3142 0.8347 Sc
0.5838 0.5838 0.1646 Ag
0.9545 0.9545 0.6156 Ag
0.5925 0.5925 0.3237 O
0.6585 0.6585 0.9183 O
0.9446 0.9446 0.4713 O
0.9715 0.9715 0.7662 O
```

The following is a computed X-ray powder pattern of Ho3Er. It was derived from a crystal structure in the Materials Project, relaxed with GGA-PBE, using Cu Kα.
Lines closer than 0.1° are merged.

Top 8 peaks for 15 to 90 degrees two-theta, by angle:
| 2theta | intensity |
| --- | --- |
| 28.7 | 24 |
| 31.9 | 24 |
| 32.9 | 100 |
| 43.4 | 16 |
| 50.9 | 20 |
| 57.5 | 21 |
| 61.3 | 23 |
| 61.9 | 16 |

Atomic structure:
```
Ho3Er
1.0
7.1814 0.0000 0.0000
-3.5907 6.2193 0.0000
0.0000 0.0000 5.6166
Ho Er
6 2
direct
0.1668 0.3337 0.2500 Ho
0.1668 0.8332 0.2500 Ho
0.3337 0.1668 0.7500 Ho
0.6663 0.8332 0.2500 Ho
0.8332 0.1668 0.7500 Ho
0.8332 0.6663 0.7500 Ho
0.3333 0.6667 0.7500 Er
0.6667 0.3333 0.2500 Er
```

The following is a computed X-ray powder pattern of Sr2AlGa3. It was derived from a crystal structure in the Materials Project, relaxed with GGA-PBE, using Cu Kα.
Lines closer than 0.1° are merged.

Top 8 peaks for 15 to 90 degrees two-theta, by angle:
| 2theta | intensity |
| --- | --- |
| 30.0 | 100 |
| 37.8 | 17 |
| 41.0 | 42 |
| 51.6 | 21 |
| 57.0 | 31 |
| 63.5 | 11 |
| 68.0 | 19 |
| 86.9 | 9 |

Atomic structure:
```
Sr2AlGa3
1.0
4.4032 0.0000 0.0000
-2.2016 3.8133 0.0000
0.0000 0.0000 9.5173
Sr Al Ga
2 1 3
direct
0.0000 0.0000 0.2502 Sr
0.0000 0.0000 0.7498 Sr
0.3333 0.6667 0.0000 Al
0.3333 0.6667 0.5000 Ga
0.6667 0.3333 0.0000 Ga
0.6667 0.3333 0.5000 Ga
```